1.
This entry pairs a crystal structure of Pr3Mg2W3 with its simulated powder diffraction line list. Radiation: CuKα. Structure: a GGA-PBE-relaxed structure.
Peak positions follow from Bragg's law for the DFT cell and can differ from measured ones.

Structure:
a = 3.7313 Å, b = 3.7313 Å, c = 16.3950 Å
α = 90.00°, β = 90.00°, γ = 90.00°
Space group P-4m2 (No. 115)
Unique sites:
Pr  0.0000  0.0000  0.0000 x1
Pr  0.0000  0.0000  0.1836 x2
Mg  0.0000  0.5000  0.6408 x2
W  0.0000  0.0000  0.5000 x1
W  0.5000  0.5000  0.0000 x1
W  0.5000  0.5000  0.5000 x1

The 12 most intense peaks (2θ from 15° to 90°), low angle first:
| hkl | d [Å] | intensity |
| --- | --- | --- |
| 0 0 3 | 5.465 | 24 |
| 0 0 4 | 4.099 | 68 |
| 1 0 2 | 3.396 | 26 |
| 1 0 3 | 3.082 | 35 |
| 0 0 6 | 2.732 | 58 |
| 1 1 0 | 2.638 | 100 |
| 1 1 2 | 2.512 | 53 |
| 1 1 4 | 2.219 | 72 |
| 1 1 6 | 1.898 | 71 |
| 2 0 0 | 1.866 | 45 |
| 2 0 6 | 1.541 | 41 |
| 1 1 10 | 1.393 | 25 |

---

2.
This entry pairs a crystal structure of DyTeAuO with its simulated powder diffraction line list. Radiation: CuKα. Structure: a GGA-PBE-relaxed structure.
Peak positions follow from Bragg's law for the DFT cell and can differ from measured ones.

Structure:
a = 5.6812 Å, b = 10.2975 Å, c = 5.7035 Å
α = 90.00°, β = 90.00°, γ = 90.00°
Space group Pcca (No. 54)
Unique sites:
Dy  0.0000  0.1035  0.2500 x4
Te  0.0000  0.2772  0.7500 x4
Au  0.2500  0.5000  0.2103 x4
O  0.2500  0.0000  0.0013 x4

The 12 most intense peaks (2θ from 15° to 90°), low angle first:
| hkl | d [Å] | intensity |
| --- | --- | --- |
| 0 2 0 | 5.149 | 39 |
| 1 2 1 | 3.171 | 98 |
| 0 0 2 | 2.852 | 94 |
| 2 1 0 | 2.738 | 71 |
| 1 3 1 | 2.612 | 100 |
| 2 2 0 | 2.487 | 55 |
| 0 3 2 | 2.191 | 32 |
| 0 5 0 | 2.059 | 36 |
| 2 1 2 | 1.975 | 59 |
| 2 2 2 | 1.874 | 31 |
| 0 5 2 | 1.670 | 39 |
| 2 6 2 | 1.306 | 28 |

---

3.
This entry pairs a crystal structure of BaAg8S5 with its simulated powder diffraction line list. Radiation: CuKα. Structure: a GGA-PBE-relaxed structure.
Peak positions follow from Bragg's law for the DFT cell and can differ from measured ones.

Structure:
a = 7.8600 Å, b = 17.6508 Å, c = 9.0713 Å
α = 90.00°, β = 108.12°, γ = 90.00°
Space group P2_1/m (No. 11)
Unique sites:
Ba  0.0644  0.2500  0.2464 x2
Ba  0.1028  0.2500  0.7876 x2
Ag  0.0000  0.0000  0.0000 x2
Ag  0.1296  0.5500  0.3503 x4
Ag  0.1847  0.5495  0.7106 x4
Ag  0.2431  0.0977  0.5734 x4
Ag  0.3856  0.6625  0.2806 x4
Ag  0.3949  0.6601  0.9576 x4
Ag  0.4390  0.5056  0.1456 x4
Ag  0.4429  0.6617  0.6287 x4
Ag  0.5000  0.0000  0.5000 x2
S  0.1022  0.6541  0.5265 x4
S  0.1298  0.6350  0.0458 x4
S  0.2702  0.0719  0.2966 x4
S  0.2715  0.0688  0.8575 x4
S  0.3798  0.2500  0.5675 x2
S  0.4084  0.2500  0.1212 x2

The 12 most intense peaks (2θ from 15° to 90°), low angle first:
| hkl | d [Å] | intensity |
| --- | --- | --- |
| 2 1 0 | 3.654 | 27 |
| 1 2 -3 | 2.852 | 100 |
| 1 6 0 | 2.737 | 60 |
| 3 0 -1 | 2.619 | 32 |
| 1 4 -3 | 2.489 | 67 |
| 2 3 -3 | 2.469 | 37 |
| 1 1 3 | 2.417 | 33 |
| 1 7 0 | 2.389 | 43 |
| 2 6 0 | 2.311 | 31 |
| 3 3 0 | 2.293 | 34 |
| 0 5 3 | 2.229 | 25 |
| 2 5 -3 | 2.156 | 30 |

---

4.
This entry pairs a crystal structure of DyY4Ho2Ni2Te2 with its simulated powder diffraction line list. Radiation: CuKα. Structure: a GGA-PBE-relaxed structure.
Peak positions follow from Bragg's law for the DFT cell and can differ from measured ones.

Structure:
a = 3.8605 Å, b = 15.6192 Å, c = 9.5817 Å
α = 90.00°, β = 90.00°, γ = 90.00°
Space group Imm2 (No. 44)
Unique sites:
Dy  0.0000  0.0000  0.0000 x2
Y  0.0000  0.1314  0.4168 x4
Y  0.0000  0.3535  0.2683 x4
Ho  0.0000  0.3151  0.6183 x4
Ni  0.0000  0.2376  0.9293 x4
Te  0.0000  0.0000  0.6639 x2
Te  0.0000  0.5000  0.7626 x2

The 12 most intense peaks (2θ from 15° to 90°), low angle first:
| hkl | d [Å] | intensity |
| --- | --- | --- |
| 1 0 1 | 3.581 | 24 |
| 1 3 0 | 3.101 | 38 |
| 0 5 1 | 2.970 | 34 |
| 1 1 2 | 2.952 | 50 |
| 0 3 3 | 2.722 | 91 |
| 1 4 1 | 2.639 | 100 |
| 0 6 0 | 2.603 | 95 |
| 1 0 3 | 2.461 | 35 |
| 1 2 3 | 2.347 | 34 |
| 0 2 4 | 2.289 | 26 |
| 2 0 0 | 1.930 | 36 |
| 2 3 3 | 1.575 | 34 |

---

5.
This entry pairs a crystal structure of CdGeSeO with its simulated powder diffraction line list. Radiation: CuKα. Structure: a GGA-PBE-relaxed structure.
Peak positions follow from Bragg's law for the DFT cell and can differ from measured ones.

Structure:
a = 6.1171 Å, b = 7.3865 Å, c = 8.1092 Å
α = 90.00°, β = 90.00°, γ = 90.00°
Space group P2_12_12_1 (No. 19)
Unique sites:
Cd  0.0126  0.1969  0.3793 x4
Ge  0.0195  0.1100  0.9534 x4
Se  0.2465  0.5014  0.7937 x4
O  0.1823  0.9113  0.9825 x4

The 12 most intense peaks (2θ from 15° to 90°), low angle first:
| hkl | d [Å] | intensity |
| --- | --- | --- |
| 0 1 1 | 5.461 | 14 |
| 1 0 1 | 4.884 | 18 |
| 1 1 0 | 4.711 | 18 |
| 1 2 0 | 3.162 | 40 |
| 1 1 2 | 3.073 | 100 |
| 1 2 1 | 2.946 | 16 |
| 2 0 2 | 2.442 | 16 |
| 2 2 0 | 2.356 | 32 |
| 2 1 2 | 2.318 | 21 |
| 0 3 2 | 2.105 | 17 |
| 0 1 4 | 1.954 | 21 |
| 3 1 2 | 1.769 | 18 |

---

6.
This entry pairs a crystal structure of Y3Mg3ZnPt2 with its simulated powder diffraction line list. Radiation: CuKα. Structure: a GGA-PBE-relaxed structure.
Peak positions follow from Bragg's law for the DFT cell and can differ from measured ones.

Structure:
a = 7.4803 Å, b = 7.4803 Å, c = 4.0505 Å
α = 90.00°, β = 90.00°, γ = 120.00°
Space group P-62m (No. 189)
Unique sites:
Y  0.0000  0.5834  0.0000 x3
Mg  0.0000  0.2507  0.5000 x3
Zn  0.0000  0.0000  0.0000 x1
Pt  0.3333  0.6667  0.5000 x2

The 12 most intense peaks (2θ from 15° to 90°), low angle first:
| hkl | d [Å] | intensity |
| --- | --- | --- |
| 1 1 0 | 3.740 | 60 |
| 1 0 1 | 3.434 | 25 |
| 1 1 1 | 2.748 | 100 |
| 2 0 1 | 2.530 | 85 |
| 2 1 0 | 2.449 | 22 |
| 3 0 0 | 2.159 | 40 |
| 2 1 1 | 2.095 | 32 |
| 0 0 2 | 2.025 | 22 |
| 2 2 0 | 1.870 | 18 |
| 3 0 2 | 1.477 | 24 |
| 3 2 1 | 1.395 | 21 |
| 4 1 1 | 1.335 | 16 |

---

7.
This entry pairs a crystal structure of NdSmFe2Si2 with its simulated powder diffraction line list. Radiation: CuKα. Structure: a GGA-PBE-relaxed structure.
Peak positions follow from Bragg's law for the DFT cell and can differ from measured ones.

Structure:
a = 4.0456 Å, b = 4.0456 Å, c = 6.8641 Å
α = 90.00°, β = 90.00°, γ = 90.00°
Space group P4mm (No. 99)
Unique sites:
Nd  0.0000  0.0000  0.0000 x1
Sm  0.5000  0.5000  0.3705 x1
Fe  0.0000  0.5000  0.6801 x2
Si  0.0000  0.0000  0.5150 x1
Si  0.5000  0.5000  0.8456 x1

The 12 most intense peaks (2θ from 15° to 90°), low angle first:
| hkl | d [Å] | intensity |
| --- | --- | --- |
| 1 0 1 | 3.485 | 100 |
| 1 1 0 | 2.861 | 34 |
| 1 1 1 | 2.641 | 43 |
| 1 0 2 | 2.617 | 68 |
| 1 1 2 | 2.197 | 71 |
| 2 0 0 | 2.023 | 50 |
| 2 1 1 | 1.750 | 29 |
| 2 1 2 | 1.600 | 30 |
| 1 0 4 | 1.580 | 24 |
| 2 0 3 | 1.515 | 20 |
| 2 1 4 | 1.245 | 22 |
| 3 1 2 | 1.199 | 19 |

---

8.
This entry pairs a crystal structure of KCd3H8Cl7O4 with its simulated powder diffraction line list. Radiation: CuKα. Structure: a GGA-PBE-relaxed structure.
Peak positions follow from Bragg's law for the DFT cell and can differ from measured ones.

Structure:
a = 6.6827 Å, b = 16.0329 Å, c = 7.0023 Å
α = 90.00°, β = 91.80°, γ = 90.00°
Space group P2_1/m (No. 11)
Unique sites:
K  0.0312  0.2500  0.1763 x2
Cd  0.0000  0.0000  0.5000 x2
Cd  0.4935  0.0964  0.3350 x4
H  0.0889  0.7019  0.2610 x4
H  0.2682  0.0746  0.9813 x4
H  0.3796  0.1632  0.9673 x4
H  0.3835  0.7500  0.1638 x2
H  0.4063  0.2500  0.7263 x2
Cl  0.1733  0.1428  0.5373 x4
Cl  0.1823  0.5473  0.8273 x4
Cl  0.3292  0.5557  0.3286 x4
Cl  0.3803  0.7500  0.6406 x2
O  0.1305  0.7500  0.1851 x2
O  0.3061  0.1252  0.0548 x4
O  0.4681  0.2500  0.8551 x2

The 12 most intense peaks (2θ from 15° to 90°), low angle first:
| hkl | d [Å] | intensity |
| --- | --- | --- |
| 0 2 1 | 5.272 | 49 |
| 0 3 1 | 4.248 | 32 |
| 1 3 1 | 3.554 | 30 |
| 1 4 0 | 3.437 | 61 |
| 1 0 2 | 3.062 | 25 |
| 1 1 2 | 3.003 | 74 |
| 1 5 0 | 2.891 | 28 |
| 2 2 -1 | 2.855 | 100 |
| 1 6 0 | 2.481 | 37 |
| 1 6 -1 | 2.347 | 25 |
| 1 0 -3 | 2.224 | 32 |
| 1 0 -4 | 1.706 | 25 |